Record 1
Starting from the GGA+U geometry in the Materials Project, the powder X-ray diffraction pattern of MgCo6O6F6 was computed for copper Kα.

Top 6 peaks for 2θ from 15° to 90°, sorted by position:
2θ (°), d/Å, Rel. int., h k l
25.02, 3.559, 100, 1 1 0
26.03, 3.423, 94, 1 -1 0
35.08, 2.558, 59, 0 1 3
35.86, 2.504, 26, 0 1 -3
52.03, 1.758, 48, -1 2 3
52.42, 1.746, 27, 1 -2 3

Cell and atoms:
```
MgCo6O6F6
1.0
4.915 0.000 0.000
0.196 4.962 0.000
0.273 0.216 8.827
Mg Co O F
1 6 6 6
Direct
0.000 0.000 0.000
0.022 0.438 0.666
0.047 0.464 0.334
0.425 0.931 0.504
0.460 0.933 0.176
0.532 0.022 0.822
0.935 0.515 0.004
0.148 0.709 0.153
0.183 0.652 0.518
0.315 0.138 0.333
0.332 0.173 0.667
0.652 0.811 0.996
0.840 0.276 0.838
0.155 0.739 0.840
0.310 0.223 0.000
0.672 0.733 0.339
0.679 0.766 0.666
0.819 0.234 0.163
0.837 0.259 0.505
```


Record 2
Starting from the GGA+U geometry in the Materials Project, the powder X-ray diffraction pattern of MgCo6O7F5 was computed for copper Kα.

Top 6 peaks for 2θ from 15° to 90°, sorted by position:
2θ (°), d/Å, Rel. int., h k l
21.70, 4.096, 100, 1 1 0
28.82, 3.098, 84, 1 -1 0
35.21, 2.549, 37, 1 0 3
35.72, 2.513, 33, 1 0 -3
47.12, 1.929, 26, 1 2 3
55.30, 1.661, 23, 2 -1 3

Cell and atoms:
```
MgCo6O7F5
1.0
5.134 0.000 0.000
1.401 4.944 0.000
0.180 0.146 8.840
Mg Co O F
1 6 7 5
Direct
0.000 0.000 0.000
0.196 0.189 0.517
0.246 0.240 0.190
0.295 0.289 0.836
0.656 0.651 0.015
0.688 0.682 0.678
0.699 0.692 0.354
0.006 0.394 0.352
0.011 0.387 0.019
0.012 0.395 0.677
0.390 0.005 0.019
0.400 0.000 0.352
0.402 0.005 0.677
0.514 0.504 0.843
0.501 0.495 0.195
0.529 0.522 0.515
0.860 0.853 0.841
0.866 0.862 0.176
0.870 0.862 0.510
```


Record 3
Starting from the GGA+U geometry in the Materials Project, the powder X-ray diffraction pattern of MgCo6O7F5 was computed for copper Kα.

Top 6 peaks for 2θ from 15° to 90°, sorted by position:
2θ (°), d/Å, Rel. int., h k l
21.60, 4.114, 100, 1 1 0
28.01, 3.185, 65, 1 -1 0
35.50, 2.528, 20, 0 2 0
36.14, 2.485, 37, 0 1 3
44.01, 2.057, 21, 2 2 0
47.73, 1.906, 22, 2 1 3

Cell and atoms:
```
MgCo6O7F5
1.0
5.182 0.000 0.000
1.309 5.058 0.000
0.193 0.024 8.561
Mg Co O F
1 6 7 5
Direct
0.000 0.000 0.000
0.031 0.563 0.496
0.434 0.971 0.633
0.471 0.999 0.336
0.495 0.033 0.991
0.957 0.496 0.821
0.977 0.506 0.169
0.159 0.312 0.995
0.174 0.328 0.657
0.183 0.335 0.332
0.273 0.811 0.494
0.788 0.703 0.657
0.800 0.704 0.335
0.808 0.714 0.995
0.285 0.850 0.152
0.288 0.855 0.836
0.637 0.162 0.505
0.706 0.170 0.159
0.731 0.196 0.846
```


Record 4
Starting from the GGA+U geometry in the Materials Project, the powder X-ray diffraction pattern of MgCo6O7F5 was computed for copper Kα.

Top 6 peaks for 2θ from 15° to 90°, sorted by position:
2θ (°), d/Å, Rel. int., h k l
22.60, 3.934, 100, 1 1 1
28.18, 3.167, 73, -1 1 1
36.05, 2.491, 29, 1 1 -2
36.18, 2.483, 22, 0 2 -1
36.44, 2.465, 21, 0 0 3
48.73, 1.869, 18, 2 2 -1

Cell and atoms:
```
MgCo6O7F5
1.0
5.093 0.000 0.000
1.098 5.692 0.000
1.013 1.297 7.396
Mg Co O F
1 6 7 5
Direct
0.000 0.000 0.000
0.028 0.152 0.354
0.087 0.503 0.026
0.502 0.637 0.324
0.508 0.299 0.662
0.508 0.948 0.003
0.989 0.777 0.658
0.189 0.842 0.438
0.214 0.500 0.774
0.215 0.179 0.111
0.290 0.693 0.100
0.798 0.090 0.573
0.838 0.431 0.230
0.840 0.759 0.901
0.290 0.024 0.784
0.316 0.341 0.439
0.688 0.587 0.559
0.703 0.235 0.897
0.728 0.930 0.215
```


Record 5
Starting from the GGA+U geometry in the Materials Project, the powder X-ray diffraction pattern of MgCo6O7F5 was computed for copper Kα.

Top 6 peaks for 2θ from 15° to 90°, sorted by position:
2θ (°), d/Å, Rel. int., h k l
22.71, 3.915, 100, -1 1 1
28.06, 3.180, 85, 1 1 -1
36.06, 2.491, 51, 1 -2 2
36.32, 2.474, 39, 2 -1 1
49.01, 1.859, 26, 2 -3 1
55.39, 1.659, 29, 3 0 0

Cell and atoms:
```
MgCo6O7F5
1.0
5.745 0.000 0.000
-2.347 5.380 0.000
-1.440 -2.735 6.943
Mg Co O F
1 6 7 5
Direct
0.000 0.000 0.000
0.028 0.460 0.935
0.311 0.566 0.342
0.359 0.025 0.801
0.640 0.044 0.173
0.669 0.509 0.631
0.994 0.047 0.506
0.034 0.712 0.814
0.090 0.193 0.794
0.305 0.360 0.495
0.342 0.707 0.147
0.661 0.331 0.806
0.675 0.719 0.483
0.973 0.328 0.145
0.227 0.838 0.512
0.399 0.192 0.102
0.601 0.854 0.872
0.761 0.237 0.458
0.901 0.883 0.210
```


Record 6
Starting from the GGA+U geometry in the Materials Project, the powder X-ray diffraction pattern of MgCo6O7F5 was computed for copper Kα.

Top 6 peaks for 2θ from 15° to 90°, sorted by position:
2θ (°), d/Å, Rel. int., h k l
22.43, 3.964, 100, 1 1 1
28.67, 3.114, 79, -1 1 1
35.95, 2.498, 22, 0 2 -1
36.34, 2.472, 24, 0 0 3
36.46, 2.464, 29, 1 1 -2
49.09, 1.856, 23, 1 3 0

Cell and atoms:
```
MgCo6O7F5
1.0
5.077 0.000 0.000
1.112 5.688 0.000
1.336 1.191 7.417
Mg Co O F
1 6 7 5
Direct
0.000 0.000 0.000
0.008 0.500 0.987
0.095 0.234 0.354
0.505 0.002 0.980
0.507 0.664 0.318
0.512 0.333 0.640
0.998 0.808 0.636
0.191 0.209 0.093
0.214 0.525 0.753
0.223 0.880 0.421
0.337 0.392 0.420
0.820 0.473 0.225
0.821 0.123 0.559
0.831 0.795 0.880
0.285 0.728 0.082
0.295 0.048 0.769
0.695 0.941 0.203
0.709 0.615 0.553
0.732 0.274 0.895
```